# 1
For Nb3SeS, DFT lattice parameters and positions (GGA-PBE) gives the calculated X-ray diffraction stick pattern in this record (Cu Kα (λ = 1.5418 Å)).
Neutral-atom scattering factors, no anomalous dispersion.

The 10 most intense peaks (2θ = 15–90°), in order of rising 2θ:
30.60 deg, 2.921 Å, I = 40; 36.90 deg, 2.436 Å, I = 22; 37.54 deg, 2.396 Å, I = 100; 37.80 deg, 2.380 Å, I = 22; 38.58 deg, 2.333 Å, I = 67; 40.99 deg, 2.202 Å, I = 100; 44.58 deg, 2.033 Å, I = 30; 60.40 deg, 1.533 Å, I = 24; 69.14 deg, 1.359 Å, I = 22; 71.46 deg, 1.320 Å, I = 22

Atomic structure:
```
Nb3SeS
1.0
5.659 0.000 0.000
0.000 4.667 0.000
-1.234 0.000 7.492
Nb Se S
6 2 2
direct
0.101 0.250 0.097 Nb
0.376 0.750 0.895 Nb
0.377 0.750 0.261 Nb
0.623 0.250 0.739 Nb
0.624 0.250 0.105 Nb
0.899 0.750 0.903 Nb
0.109 0.250 0.753 Se
0.891 0.750 0.247 Se
0.413 0.250 0.376 S
0.587 0.750 0.624 S
```

---

# 2
For Nb3Se2S, DFT lattice parameters and positions (GGA-PBE) gives the calculated X-ray diffraction stick pattern in this record (Cu Kα (λ = 1.5418 Å)).
Neutral-atom scattering factors, no anomalous dispersion.

The 10 most intense peaks (2θ = 15–90°), in order of rising 2θ:
18.95 deg, 4.682 Å, I = 54; 28.00 deg, 3.187 Å, I = 100; 33.61 deg, 2.667 Å, I = 44; 36.92 deg, 2.435 Å, I = 84; 39.24 deg, 2.296 Å, I = 62; 42.86 deg, 2.110 Å, I = 70; 43.58 deg, 2.077 Å, I = 92; 46.97 deg, 1.935 Å, I = 46; 54.97 deg, 1.670 Å, I = 44; 71.39 deg, 1.321 Å, I = 29

Atomic structure:
```
Nb3Se2S
1.0
5.084 -4.682 0.000
5.084 4.682 0.000
0.000 0.000 4.869
Nb Se S
6 4 2
direct
0.140 0.539 0.250 Nb
0.183 0.817 0.750 Nb
0.461 0.860 0.250 Nb
0.539 0.140 0.750 Nb
0.817 0.183 0.250 Nb
0.860 0.461 0.750 Nb
0.234 0.437 0.750 Se
0.437 0.234 0.250 Se
0.563 0.766 0.750 Se
0.766 0.563 0.250 Se
0.105 0.895 0.250 S
0.895 0.105 0.750 S
```

---

# 3
For Ta2NbSe2S4, DFT lattice parameters and positions (GGA-PBE) gives the calculated X-ray diffraction stick pattern in this record (Cu Kα (λ = 1.5418 Å)).
Neutral-atom scattering factors, no anomalous dispersion.

The 10 most intense peaks (2θ = 15–90°), in order of rising 2θ:
30.52 deg, 2.929 Å, I = 55; 30.81 deg, 2.902 Å, I = 24; 31.69 deg, 2.824 Å, I = 33; 33.10 deg, 2.707 Å, I = 39; 34.98 deg, 2.565 Å, I = 41; 37.29 deg, 2.412 Å, I = 100; 42.91 deg, 2.108 Å, I = 25; 46.14 deg, 1.967 Å, I = 62; 54.24 deg, 1.691 Å, I = 41; 55.90 deg, 1.645 Å, I = 32

Atomic structure:
```
Ta2NbSe2S4
1.0
3.382 0.000 0.000
-1.691 2.929 0.000
0.000 0.000 21.242
Ta Nb Se S
2 1 2 4
direct
0.000 0.000 0.000 Ta
0.333 0.667 0.321 Ta
0.333 0.667 0.672 Nb
0.000 0.000 0.591 Se
0.000 0.000 0.753 Se
0.000 0.000 0.248 S
0.000 0.000 0.394 S
0.333 0.667 0.073 S
0.333 0.667 0.927 S
```

---

# 4
For Ta2NbSe4S2, DFT lattice parameters and positions (GGA-PBE) gives the calculated X-ray diffraction stick pattern in this record (Cu Kα (λ = 1.5418 Å)).
Neutral-atom scattering factors, no anomalous dispersion.

The 10 most intense peaks (2θ = 15–90°), in order of rising 2θ:
30.03 deg, 2.976 Å, I = 58; 32.63 deg, 2.744 Å, I = 34; 34.53 deg, 2.598 Å, I = 57; 36.84 deg, 2.440 Å, I = 100; 42.49 deg, 2.128 Å, I = 51; 45.72 deg, 1.984 Å, I = 53; 53.32 deg, 1.718 Å, I = 45; 54.99 deg, 1.670 Å, I = 29; 66.57 deg, 1.405 Å, I = 18; 77.28 deg, 1.235 Å, I = 25

Atomic structure:
```
Ta2NbSe4S2
1.0
3.436 0.000 0.000
-1.718 2.976 0.000
0.000 0.000 21.303
Ta Nb Se S
2 1 4 2
direct
0.000 0.000 0.000 Ta
0.333 0.667 0.334 Ta
0.333 0.667 0.679 Nb
0.000 0.000 0.255 Se
0.000 0.000 0.413 Se
0.333 0.667 0.080 Se
0.333 0.667 0.921 Se
0.000 0.000 0.607 S
0.000 0.000 0.751 S
```

---

# 5
For TiNb2Se4S2, DFT lattice parameters and positions (GGA-PBE) gives the calculated X-ray diffraction stick pattern in this record (Cu Kα (λ = 1.5418 Å)).
Neutral-atom scattering factors, no anomalous dispersion.

The 10 most intense peaks (2θ = 15–90°), in order of rising 2θ:
30.00 deg, 2.978 Å, I = 64; 32.64 deg, 2.743 Å, I = 20; 34.57 deg, 2.595 Å, I = 51; 36.92 deg, 2.435 Å, I = 100; 42.63 deg, 2.121 Å, I = 54; 45.91 deg, 1.977 Å, I = 47; 53.27 deg, 1.720 Å, I = 48; 54.97 deg, 1.671 Å, I = 16; 66.58 deg, 1.405 Å, I = 17; 77.58 deg, 1.231 Å, I = 24

Atomic structure:
```
TiNb2Se4S2
1.0
3.439 0.000 0.000
-1.720 2.978 0.000
0.000 0.000 21.141
Ti Nb Se S
1 2 4 2
direct
0.000 0.000 0.000 Ti
0.000 0.000 0.655 Nb
0.667 0.333 0.319 Nb
0.000 0.000 0.239 Se
0.000 0.000 0.399 Se
0.667 0.333 0.574 Se
0.667 0.333 0.735 Se
0.667 0.333 0.070 S
0.667 0.333 0.930 S
```

---

# 6
For Nb2VSe4S2, DFT lattice parameters and positions (GGA-PBE) gives the calculated X-ray diffraction stick pattern in this record (Cu Kα (λ = 1.5418 Å)).
Neutral-atom scattering factors, no anomalous dispersion.

The 10 most intense peaks (2θ = 15–90°), in order of rising 2θ:
30.46 deg, 2.935 Å, I = 67; 33.10 deg, 2.707 Å, I = 20; 35.03 deg, 2.562 Å, I = 61; 37.38 deg, 2.406 Å, I = 100; 43.12 deg, 2.098 Å, I = 61; 46.41 deg, 1.956 Å, I = 41; 54.12 deg, 1.695 Å, I = 50; 55.82 deg, 1.647 Å, I = 16; 67.62 deg, 1.385 Å, I = 17; 78.59 deg, 1.217 Å, I = 25

Atomic structure:
```
Nb2VSe4S2
1.0
3.389 0.000 0.000
-1.695 2.935 0.000
0.000 0.000 20.996
Nb V Se S
2 1 4 2
direct
0.000 0.000 0.000 Nb
0.333 0.667 0.340 Nb
0.333 0.667 0.682 V
0.000 0.000 0.258 Se
0.000 0.000 0.421 Se
0.333 0.667 0.082 Se
0.333 0.667 0.918 Se
0.000 0.000 0.613 S
0.000 0.000 0.751 S
```

---

Number 6 is which compound? Nb2VSe4S2